Diffraction record for Na3Zn2Ag7. The XRD peak list is simulated, not measured: it uses a cell relaxed with GGA-PBE and Cu Ka.
Peak positions follow from Bragg's law for the DFT cell and can differ from measured ones.

Structural model:
```
data_Na3Zn2Ag7
_chemical_formula_sum 'Na9 Zn6 Ag21'
_symmetry_space_group_name_H-M 'R -3 m'
_symmetry_Int_Tables_number 166
_symmetry_space_group_name_Hall '-R 3 2"'
_cell_length_a 5.7170
_cell_length_b 5.7170
_cell_length_c 26.5297
_cell_angle_alpha 90.00
_cell_angle_beta 90.00
_cell_angle_gamma 120.00
loop_
_atom_site_label
_atom_site_type_symbol
_atom_site_fract_x
_atom_site_fract_y
_atom_site_fract_z
Na1 Na 0.0000 0.0000 0.0000
Na2 Na 0.0000 0.0000 0.1421
Zn1 Zn 0.0000 0.0000 0.3328
Ag1 Ag 0.0000 0.0000 0.5000
Ag2 Ag 0.0020 0.5010 0.9201
```

Largest 6 diffraction maxima, sorted by position, 2θ from 5° to 70°:
(hkl)  d_spacing  2theta  I_rel
1 0 1  4.867  18.23  100
0 2 1  2.465  36.45  36
1 1 6  2.401  37.46  88
2 0 5  2.243  40.20  66
0 0 12  2.211  40.82  34
0 2 7  2.073  43.67  54



Diffraction record for HoScB12. The XRD peak list is simulated, not measured: it uses a cell relaxed with GGA-PBE and Cu Ka.
Peak positions follow from Bragg's law for the DFT cell and can differ from measured ones.

Structural model:
```
data_HoScB12
_chemical_formula_sum 'Ho1 Sc1 B12'
_symmetry_space_group_name_H-M 'P 4/m m m'
_symmetry_Int_Tables_number 123
_symmetry_space_group_name_Hall '-P 4 2'
_cell_length_a 4.082
_cell_length_b 4.082
_cell_length_c 8.164
_cell_angle_alpha 90.00
_cell_angle_beta 90.00
_cell_angle_gamma 90.00
loop_
_atom_site_label
_atom_site_type_symbol
_atom_site_fract_x
_atom_site_fract_y
_atom_site_fract_z
Ho1 Ho 0.000 0.000 0.000
Sc1 Sc 0.000 0.000 0.500
B1 B 0.199 0.500 0.251
B2 B 0.500 0.500 0.100
B3 B 0.500 0.500 0.401
```

Largest 6 diffraction maxima, sorted by position, 2θ from 5° to 70°:
(hkl)  d_spacing  2theta  I_rel
0 0 1  8.164  10.84  50
1 0 0  4.082  21.77  50
1 0 1  3.651  24.38  34
1 1 0  2.887  30.98  100
1 1 2  2.357  38.19  44
2 1 0  1.826  49.96  47